# 1
Tb3Er2Tm9: computed X-ray powder pattern (Cu Ka), based on a DFT-relaxed cell (GGA-PBE, Alexandria).

Largest 10 diffraction maxima, by intensity, 10 to 80 degrees two-theta:
- d 2.809, 2θ 31.86, I 100
- d 2.757, 2θ 32.47, I 34
- d 2.662, 2θ 33.67, I 26
- d 2.563, 2θ 35.01, I 26
- d 2.783, 2θ 32.16, I 20
- d 2.611, 2θ 34.34, I 19
- d 1.709, 2θ 53.63, I 11
- d 1.855, 2θ 49.13, I 7
- d 1.564, 2θ 59.07, I 7
- d 2.128, 2θ 42.47, I 7

Crystal structure
Lattice parameters (Å, degrees): 6.1483 8.5667 8.6254 79.50 77.27 86.71
Sites, in units of the cell vectors:
Tb: 0.0000 0.0000 0.0000
Tb: 0.2534 0.3814 0.2713
Tb: 0.7466 0.6186 0.7287
Er: 0.4498 0.9677 0.7000
Er: 0.5502 0.0323 0.3000
Tm: 0.0000 0.0000 0.5000
Tm: 0.0939 0.3141 0.6937
Tm: 0.1900 0.6171 0.8963
Tm: 0.3458 0.6689 0.4929
Tm: 0.4916 0.2471 0.9159
Tm: 0.5084 0.7529 0.0841
Tm: 0.6542 0.3311 0.5071
Tm: 0.8100 0.3829 0.1037
Tm: 0.9061 0.6859 0.3063

---

# 2
Na3HfCl7: computed X-ray powder pattern (Cu Ka), based on a DFT-relaxed cell (GGA-PBE, Alexandria).

Largest 10 diffraction maxima, by intensity, 10 to 80 degrees two-theta:
- d 6.226, 2θ 14.23, I 100
- d 5.598, 2θ 15.83, I 70
- d 3.950, 2θ 22.51, I 41
- d 6.182, 2θ 14.33, I 41
- d 3.339, 2θ 26.70, I 37
- d 2.429, 2θ 37.01, I 35
- d 2.600, 2θ 34.49, I 24
- d 5.135, 2θ 17.27, I 22
- d 2.666, 2θ 33.61, I 20
- d 4.414, 2θ 20.12, I 20

Crystal structure
Lattice parameters (Å, degrees): 6.8125 6.8125 7.0705 108.60 108.60 97.83
Sites, in units of the cell vectors:
Na: 0.0000 0.0000 0.0000
Na: 0.2144 0.6894 0.3918
Na: 0.6894 0.2144 0.3918
Hf: 0.5138 0.5138 0.9293
Cl: 0.1455 0.4502 0.6410
Cl: 0.3491 0.3491 0.1290
Cl: 0.3555 0.8217 0.0916
Cl: 0.4502 0.1455 0.6410
Cl: 0.6578 0.6578 0.7058
Cl: 0.8217 0.3555 0.0916
Cl: 0.8365 0.8365 0.2486

---

# 3
NdB2Rh6: computed X-ray powder pattern (Cu Ka), based on a DFT-relaxed cell (GGA-PBE, Alexandria).

Largest 10 diffraction maxima, by intensity, 10 to 80 degrees two-theta:
- d 2.645, 2θ 33.90, I 100
- d 2.427, 2θ 37.04, I 56
- d 1.870, 2θ 48.69, I 54
- d 2.036, 2θ 44.50, I 34
- d 3.190, 2θ 27.97, I 31
- d 1.377, 2θ 68.08, I 25
- d 1.292, 2θ 73.24, I 20
- d 1.247, 2θ 76.39, I 16
- d 1.481, 2θ 62.72, I 12
- d 1.527, 2θ 60.65, I 10

Crystal structure
Lattice parameters (Å, degrees): 7.4802 7.4802 7.4802 60.00 60.00 60.00
Sites, in units of the cell vectors:
Nd: 0.1250 0.1250 0.1250
Nd: 0.8750 0.8750 0.8750
B: 0.0000 0.5000 0.5000
B: 0.5000 0.0000 0.5000
B: 0.5000 0.5000 0.0000
B: 0.5000 0.5000 0.5000
Rh: 0.1686 0.1686 0.5814
Rh: 0.1686 0.5814 0.1686
Rh: 0.1686 0.5814 0.5814
Rh: 0.4186 0.4186 0.8314
Rh: 0.4186 0.8314 0.4186
Rh: 0.4186 0.8314 0.8314
Rh: 0.5814 0.1686 0.1686
Rh: 0.5814 0.1686 0.5814
Rh: 0.5814 0.5814 0.1686
Rh: 0.8314 0.4186 0.4186
Rh: 0.8314 0.4186 0.8314
Rh: 0.8314 0.8314 0.4186

---

# 4
Sm2ZrZn2Rh5: computed X-ray powder pattern (Cu Ka), based on a DFT-relaxed cell (GGA-PBE, Alexandria).

Largest 10 diffraction maxima, by intensity, 10 to 80 degrees two-theta:
- d 2.371, 2θ 37.95, I 100
- d 2.411, 2θ 37.30, I 52
- d 2.191, 2θ 41.19, I 33
- d 2.803, 2θ 31.93, I 28
- d 1.806, 2θ 50.54, I 21
- d 2.519, 2θ 35.65, I 21
- d 1.445, 2θ 64.47, I 20
- d 2.343, 2θ 38.42, I 19
- d 2.223, 2θ 40.59, I 16
- d 2.047, 2θ 44.24, I 12

Crystal structure
Lattice parameters (Å, degrees): 9.9394 9.9394 3.6118 90.00 90.00 90.00
Sites, in units of the cell vectors:
Sm: 0.1729 0.3271 0.0000
Sm: 0.3271 0.8271 0.0000
Sm: 0.6729 0.1729 0.0000
Sm: 0.8271 0.6729 0.0000
Zr: 0.0000 0.0000 0.0000
Zr: 0.5000 0.5000 0.0000
Zn: 0.1235 0.6235 0.0000
Zn: 0.3765 0.1235 0.0000
Zn: 0.6235 0.8765 0.0000
Zn: 0.8765 0.3765 0.0000
Rh: 0.0000 0.5000 0.5000
Rh: 0.0671 0.7956 0.5000
Rh: 0.2044 0.0671 0.5000
Rh: 0.2956 0.5671 0.5000
Rh: 0.4329 0.2956 0.5000
Rh: 0.5000 0.0000 0.5000
Rh: 0.5671 0.7044 0.5000
Rh: 0.7044 0.4329 0.5000
Rh: 0.7956 0.9329 0.5000
Rh: 0.9329 0.2044 0.5000